Starting from a DFT-relaxed cell (PBE, Alexandria), the PXRD pattern of Li8AgHg2 was simulated for Cu Kα.
Intensities are scaled so that the largest is 100.

Cell and atoms:
Unit cell a=7.5310 b=7.5310 c=7.5310 alpha=144.54 beta=125.49 gamma=66.72
Positions (direct):
Li: 0.1395 0.3535 0.7860
Li: 0.1521 0.1521 0.0000
Li: 0.2966 0.0000 0.2966
Li: 0.4326 0.6465 0.7860
Li: 0.5674 0.3535 0.2140
Li: 0.7034 0.0000 0.7034
Li: 0.8479 0.8479 0.0000
Li: 0.8605 0.6465 0.2140
Ag: 0.0000 0.5000 0.5000
Hg: 0.3024 0.8024 0.5000
Hg: 0.6976 0.1976 0.5000

Largest 6 diffraction maxima, in order of rising 2θ, 15° ≤ 2θ ≤ 90°:
d/Å	2θ/deg	I_rel
3.819	23.3	100
3.583	24.8	66
3.449	25.8	38
3.095	28.8	43
2.303	39.1	49
1.932	47.0	24